# LiGa3P2O11F3
Simulated X-ray powder pattern, λ = 1.5418 Å (Cu Kα). Input: a cell relaxed with PBE.
Neutral-atom scattering factors, no anomalous dispersion.

Main lines, most intense first (10° ≤ 2θ ≤ 90°):
d = 4.971 Å, I 100
d = 3.307 Å, I 86
d = 5.934 Å, I 78
d = 2.481 Å, I 41
d = 3.768 Å, I 35
d = 3.077 Å, I 32
d = 2.778 Å, I 30
d = 3.738 Å, I 27

Cell and atoms:
```
data_LiGa3P2O11F3
_symmetry_space_group_name_H-M 'P 1'
_symmetry_Int_Tables_number 1
_cell_length_a 7.359
_cell_length_b 8.449
_cell_length_c 8.543
_cell_angle_alpha 90.00
_cell_angle_beta 102.67
_cell_angle_gamma 90.00
loop_
_symmetry_equiv_pos_as_xyz
'x,y,z'
loop_
_atom_site_label
_atom_site_fract_x
_atom_site_fract_y
_atom_site_fract_z
Li1 0.008 0.000 0.159
Li2 0.992 0.500 0.841
Ga1 0.176 0.669 0.154
Ga2 0.240 0.406 0.501
Ga3 0.334 0.163 0.853
Ga4 0.666 0.663 0.147
Ga5 0.760 0.906 0.499
Ga6 0.824 0.169 0.846
P1 0.056 0.859 0.822
P2 0.439 0.974 0.181
P3 0.561 0.474 0.819
P4 0.944 0.359 0.178
O1 0.057 0.463 0.081
O2 0.067 0.300 0.336
O3 0.075 0.461 0.643
O4 0.079 0.258 0.827
O5 0.123 0.707 0.921
O6 0.222 0.957 0.793
O7 0.261 0.886 0.208
O8 0.374 0.124 0.083
O9 0.441 0.369 0.902
O10 0.445 0.528 0.650
O11 0.479 0.363 0.430
O12 0.521 0.863 0.570
O13 0.555 0.028 0.350
O14 0.559 0.869 0.098
O15 0.626 0.624 0.917
O16 0.739 0.386 0.792
O17 0.778 0.457 0.207
O18 0.877 0.207 0.079
O19 0.921 0.758 0.173
O20 0.925 0.961 0.357
O21 0.933 0.800 0.664
O22 0.943 0.963 0.919
F1 0.204 0.605 0.378
F2 0.301 0.208 0.618
F3 0.420 0.582 0.164
F4 0.580 0.082 0.836
F5 0.699 0.708 0.382
F6 0.796 0.105 0.622
```